Record 1
Theoretical X-ray powder pattern of Bi2O5 for Cu Ka, from a structure optimized by DFT (PBE).
No peak broadening, texture or thermal motion is included.

Atomic structure:
Cell lengths 4.262, 11.111, 10.192 Å; angles 90.00, 90.00, 90.00 degrees
Space group Cmcm (No. 63)
Inequivalent atoms, fractional coordinates:
Bi  0.000  0.136  0.062 [8 per cell]
O  0.000  0.046  0.625 [8 per cell]
O  0.000  0.214  0.250 [4 per cell]
O  0.000  0.314  0.536 [8 per cell]

Main lines, by angle (2θ = 15–90°):
- (0 0 2), 2θ = 17.4°, intensity 98
- (0 2 1), 2θ = 18.2°, intensity 43
- (1 1 0), 2θ = 22.3°, intensity 100
- (1 1 2), 2θ = 28.5°, intensity 40
- (0 2 3), 2θ = 30.9°, intensity 71
- (1 3 0), 2θ = 32.0°, intensity 43
- (0 4 0), 2θ = 32.2°, intensity 33
- (1 1 3), 2θ = 34.7°, intensity 45
- (2 2 3), 2θ = 53.4°, intensity 32
- (1 5 3), 2θ = 53.8°, intensity 29

---

Record 2
Theoretical X-ray powder pattern of Pt2W for Cu Ka, from a structure optimized by DFT (PBE).
No peak broadening, texture or thermal motion is included.

Atomic structure:
Cell lengths 2.807, 3.969, 8.370 Å; angles 90.00, 90.00, 90.00 degrees
Space group Immm (No. 71)
Inequivalent atoms, fractional coordinates:
Pt  0.000  0.000  0.163 [4 per cell]
W  0.000  0.000  0.500 [2 per cell]

Main lines, by angle (2θ = 15–90°):
- (1 1 0), 2θ = 39.3°, intensity 100
- (0 1 3), 2θ = 39.5°, intensity 99
- (0 2 0), 2θ = 45.7°, intensity 33
- (1 0 3), 2θ = 45.9°, intensity 65
- (1 2 3), 2θ = 66.8°, intensity 43
- (1 3 0), 2θ = 80.3°, intensity 39
- (0 3 3), 2θ = 80.3°, intensity 13
- (1 1 6), 2θ = 80.6°, intensity 25
- (2 2 0), 2θ = 84.6°, intensity 12
- (0 2 6), 2θ = 85.0°, intensity 11

---

Record 3
Theoretical X-ray powder pattern of Ho2MgSe4 for Cu Ka, from a structure optimized by DFT (PBE).
No peak broadening, texture or thermal motion is included.

Atomic structure:
Cell lengths 13.189, 7.866, 13.430 Å; angles 90.00, 90.00, 90.00 degrees
Space group Pca2_1 (No. 29)
Inequivalent atoms, fractional coordinates:
Ho  0.108  0.117  0.000 [4 per cell]
Ho  0.128  0.619  0.640 [4 per cell]
Ho  0.133  0.371  0.304 [4 per cell]
Ho  0.133  0.871  0.305 [4 per cell]
Mg  0.111  0.617  0.005 [4 per cell]
Mg  0.126  0.121  0.635 [4 per cell]
Se  0.013  0.123  0.192 [4 per cell]
Se  0.021  0.627  0.183 [4 per cell]
Se  0.035  0.624  0.444 [4 per cell]
Se  0.042  0.127  0.450 [4 per cell]
Se  0.212  0.121  0.818 [4 per cell]
Se  0.213  0.620  0.833 [4 per cell]
Se  0.231  0.368  0.093 [4 per cell]
Se  0.231  0.872  0.092 [4 per cell]

Main lines, by angle (2θ = 15–90°):
- (2 1 1), 2θ = 18.8°, intensity 25
- (2 0 3), 2θ = 24.0°, intensity 58
- (2 0 4), 2θ = 29.9°, intensity 47
- (3 2 1), 2θ = 31.2°, intensity 100
- (3 2 2), 2θ = 33.4°, intensity 79
- (1 2 5), 2θ = 41.3°, intensity 49
- (5 2 2), 2θ = 43.5°, intensity 32
- (6 0 3), 2θ = 46.0°, intensity 41
- (0 4 0), 2θ = 46.1°, intensity 48
- (6 4 3), 2θ = 67.2°, intensity 27

---

Record 4
Theoretical X-ray powder pattern of Ni3Bi2S2 for Cu Ka, from a structure optimized by DFT (PBE).
No peak broadening, texture or thermal motion is included.

Atomic structure:
Cell lengths 4.128, 5.401, 5.883 Å; angles 90.00, 90.00, 90.00 degrees
Space group Pmm2 (No. 25)
Inequivalent atoms, fractional coordinates:
Ni  0.000  0.000  0.000 [1 per cell]
Ni  0.500  0.252  0.819 [2 per cell]
Bi  0.000  0.000  0.563 [1 per cell]
Bi  0.000  0.500  0.072 [1 per cell]
S  0.500  0.000  0.114 [1 per cell]
S  0.500  0.500  0.528 [1 per cell]

Main lines, by angle (2θ = 15–90°):
- (1 0 0), 2θ = 21.5°, intensity 26
- (0 1 1), 2θ = 22.3°, intensity 52
- (0 0 2), 2θ = 30.4°, intensity 23
- (1 1 1), 2θ = 31.2°, intensity 100
- (1 0 2), 2θ = 37.5°, intensity 50
- (1 2 0), 2θ = 39.9°, intensity 44
- (2 0 0), 2θ = 43.9°, intensity 26
- (0 2 2), 2θ = 45.6°, intensity 42
- (1 1 3), 2θ = 54.5°, intensity 24
- (2 2 2), 2θ = 65.1°, intensity 28